Simulated X-ray powder pattern of Yb2Mg for a wavelength of 1.5418 Å, from a crystal structure in Alexandria, relaxed with GGA-PBE.

Peak list (12 most intense, 2θ from 10° to 90°, sorted by position)
| Position (°2θ) | d/Å | I_rel |
| --- | --- | --- |
| 16.60 | 5.339 | 179 |
| 22.89 | 3.886 | 460 |
| 29.12 | 3.067 | 144 |
| 29.59 | 3.019 | 176 |
| 31.00 | 2.885 | 362 |
| 33.08 | 2.708 | 1000 |
| 33.51 | 2.674 | 410 |
| 43.38 | 2.086 | 125 |
| 52.20 | 1.752 | 153 |
| 56.47 | 1.630 | 263 |
| 61.97 | 1.498 | 183 |
| 62.70 | 1.482 | 106 |

Crystal structure
```
Yb2Mg
1.0
10.6789 0.0000 0.0000
0.0000 6.0388 0.0000
0.0000 0.0000 5.7694
Yb Mg
8 4
Cartesian
1.7185 1.1032 1.4424
1.7185 4.9357 4.3271
3.6209 1.9163 4.3271
3.6209 4.1226 1.4424
7.0580 1.9163 4.3271
7.0580 4.1226 1.4424
8.9604 1.1032 1.4424
8.9604 4.9357 4.3271
0.0000 1.9718 4.3271
0.0000 4.0671 1.4424
5.3394 1.0476 1.4424
5.3394 4.9912 4.3271
```

---

Simulated X-ray powder pattern of Mg2Zn for a wavelength of 1.5418 Å, from a crystal structure in Alexandria, relaxed with GGA-PBE.

Peak list (12 most intense, 2θ from 10° to 90°, sorted by position)
| Position (°2θ) | d/Å | I_rel |
| --- | --- | --- |
| 21.45 | 4.142 | 144 |
| 26.25 | 3.395 | 534 |
| 30.15 | 2.964 | 206 |
| 37.30 | 2.410 | 748 |
| 37.61 | 2.392 | 1000 |
| 46.44 | 1.955 | 113 |
| 48.94 | 1.861 | 310 |
| 54.01 | 1.698 | 245 |
| 67.68 | 1.384 | 238 |
| 67.88 | 1.381 | 161 |
| 75.47 | 1.260 | 232 |
| 80.29 | 1.196 | 97 |

Crystal structure
```
Mg2Zn
1.0
4.7831 0.0000 0.0000
-2.3916 4.1423 0.0000
0.0000 0.0000 5.9278
Mg Zn
4 2
Cartesian
0.0000 0.0000 0.0000
0.0000 0.0000 2.9639
0.0000 2.7616 1.4820
2.3916 1.3808 4.4459
0.0000 2.7616 4.4459
2.3916 1.3808 1.4820
```

---

Simulated X-ray powder pattern of Mg7Zn2 for a wavelength of 1.5418 Å, from a crystal structure in Alexandria, relaxed with GGA-PBE.

Peak list (12 most intense, 2θ from 10° to 90°, sorted by position)
| Position (°2θ) | d/Å | I_rel |
| --- | --- | --- |
| 23.17 | 3.839 | 339 |
| 28.96 | 3.083 | 150 |
| 29.91 | 2.987 | 92 |
| 36.64 | 2.453 | 1000 |
| 36.78 | 2.443 | 842 |
| 47.99 | 1.896 | 145 |
| 52.89 | 1.731 | 284 |
| 66.02 | 1.415 | 442 |
| 66.35 | 1.409 | 98 |
| 77.90 | 1.226 | 109 |
| 89.39 | 1.096 | 123 |
| 89.65 | 1.094 | 83 |

Crystal structure
```
Mg7Zn2
1.0
4.9057 0.0000 0.0000
-2.4528 4.2484 0.0000
0.0000 0.0000 8.9607
Mg Zn
7 2
Cartesian
0.0000 0.0000 0.0000
0.0000 0.0000 2.9723
0.0000 0.0000 5.9885
0.0000 2.8323 1.6448
0.0000 2.8323 4.8943
2.4528 1.4161 4.0664
2.4528 1.4161 7.3160
0.0000 2.8323 7.7125
2.4528 1.4161 1.2482
```

---

Simulated X-ray powder pattern of Mg5Zn3 for a wavelength of 1.5418 Å, from a crystal structure in Alexandria, relaxed with GGA-PBE.

Peak list (12 most intense, 2θ from 10° to 90°, sorted by position)
| Position (°2θ) | d/Å | I_rel |
| --- | --- | --- |
| 11.21 | 7.891 | 235 |
| 22.53 | 3.946 | 290 |
| 28.47 | 3.135 | 158 |
| 28.72 | 3.108 | 155 |
| 36.61 | 2.455 | 1000 |
| 36.81 | 2.442 | 985 |
| 40.88 | 2.207 | 741 |
| 46.01 | 1.973 | 244 |
| 47.18 | 1.926 | 162 |
| 63.22 | 1.471 | 357 |
| 71.53 | 1.319 | 253 |
| 71.91 | 1.313 | 252 |

Crystal structure
```
Mg5Zn3
1.0
0.0000 3.1350 7.8912
3.1083 0.0000 7.8912
3.1083 3.1350 0.0000
Mg Zn
5 3
Cartesian
0.0000 0.0000 0.0000
1.5541 1.5675 2.1180
1.5541 1.5675 5.7732
4.6624 4.7025 10.0093
4.6624 4.7025 13.6644
3.1083 3.1350 3.9223
3.1083 3.1350 7.8912
3.1083 3.1350 11.8601
```

---

Simulated X-ray powder pattern of Mg7Zn for a wavelength of 1.5418 Å, from a crystal structure in Alexandria, relaxed with GGA-PBE.

Peak list (12 most intense, 2θ from 10° to 90°, sorted by position)
| Position (°2θ) | d/Å | I_rel |
| --- | --- | --- |
| 20.81 | 4.270 | 121 |
| 25.14 | 3.543 | 82 |
| 32.19 | 2.781 | 40 |
| 35.12 | 2.555 | 1000 |
| 40.18 | 2.244 | 166 |
| 41.07 | 2.198 | 322 |
| 41.91 | 2.156 | 43 |
| 58.81 | 1.570 | 206 |
| 59.48 | 1.554 | 103 |
| 69.76 | 1.348 | 114 |
| 70.99 | 1.328 | 231 |
| 74.23 | 1.278 | 98 |

Crystal structure
```
Mg7Zn
1.0
4.3956 0.0000 0.0000
0.0000 4.3956 0.0000
0.0000 0.0000 17.9538
Mg Zn
14 2
Cartesian
0.0000 0.0000 0.0000
0.0000 0.0000 4.4726
0.0000 0.0000 13.4813
0.0000 2.1978 2.1451
0.0000 2.1978 6.8318
0.0000 2.1978 11.1220
0.0000 2.1978 15.8087
2.1978 0.0000 2.1451
2.1978 0.0000 6.8318
2.1978 0.0000 11.1220
2.1978 0.0000 15.8087
2.1978 2.1978 4.5043
2.1978 2.1978 8.9769
2.1978 2.1978 13.4495
0.0000 0.0000 8.9769
2.1978 2.1978 0.0000
```

---

Simulated X-ray powder pattern of Mg2Zn for a wavelength of 1.5418 Å, from a crystal structure in Alexandria, relaxed with GGA-PBE.

Peak list (12 most intense, 2θ from 10° to 90°, sorted by position)
| Position (°2θ) | d/Å | I_rel |
| --- | --- | --- |
| 20.81 | 4.269 | 654 |
| 23.70 | 3.753 | 284 |
| 34.88 | 2.572 | 480 |
| 35.08 | 2.558 | 188 |
| 35.23 | 2.547 | 810 |
| 38.46 | 2.341 | 898 |
| 38.95 | 2.312 | 1000 |
| 40.00 | 2.254 | 803 |
| 62.14 | 1.494 | 282 |
| 64.30 | 1.449 | 183 |
| 65.71 | 1.421 | 197 |
| 74.50 | 1.274 | 240 |

Crystal structure
```
Mg2Zn
1.0
8.8978 0.0000 0.0000
0.0000 5.1902 0.0000
-3.2415 0.0000 5.0944
Mg Zn
8 4
Cartesian
0.7073 0.4926 1.2623
-0.9134 4.6976 3.8095
0.5000 2.1025 3.8320
2.1208 3.0877 1.2849
3.5355 2.1025 3.8095
5.1562 3.0877 1.2623
6.5697 0.4926 1.2849
4.9489 4.6976 3.8320
-2.4311 2.1441 3.8208
-0.8104 3.0461 1.2736
3.6385 0.4510 1.2736
2.0178 4.7392 3.8208
```

---

What did the fifth record say?
Simulated X-ray powder pattern of Mg7Zn for a wavelength of 1.5418 Å, from a crystal structure in Alexandria, relaxed with GGA-PBE.

Peak list (12 most intense, 2θ from 10° to 90°, sorted by position)
| Position (°2θ) | d/Å | I_rel |
| --- | --- | --- |
| 20.81 | 4.270 | 121 |
| 25.14 | 3.543 | 82 |
| 32.19 | 2.781 | 40 |
| 35.12 | 2.555 | 1000 |
| 40.18 | 2.244 | 166 |
| 41.07 | 2.198 | 322 |
| 41.91 | 2.156 | 43 |
| 58.81 | 1.570 | 206 |
| 59.48 | 1.554 | 103 |
| 69.76 | 1.348 | 114 |
| 70.99 | 1.328 | 231 |
| 74.23 | 1.278 | 98 |

Crystal structure
```
Mg7Zn
1.0
4.3956 0.0000 0.0000
0.0000 4.3956 0.0000
0.0000 0.0000 17.9538
Mg Zn
14 2
Cartesian
0.0000 0.0000 0.0000
0.0000 0.0000 4.4726
0.0000 0.0000 13.4813
0.0000 2.1978 2.1451
0.0000 2.1978 6.8318
0.0000 2.1978 11.1220
0.0000 2.1978 15.8087
2.1978 0.0000 2.1451
2.1978 0.0000 6.8318
2.1978 0.0000 11.1220
2.1978 0.0000 15.8087
2.1978 2.1978 4.5043
2.1978 2.1978 8.9769
2.1978 2.1978 13.4495
0.0000 0.0000 8.9769
2.1978 2.1978 0.0000
```